The following is a calculated PXRD pattern of MgZrNiHg. It was derived from a crystal structure in OQMD, relaxed with PBE, using λ = 1.5418 Å (Cu Kα).

Largest 8 diffraction maxima, low angle first, 2θ from 5° to 70°:
23.15 deg, I 36.3
26.79 deg, I 18.0
38.25 deg, I 100.0
45.18 deg, I 19.7
55.20 deg, I 17.0
60.64 deg, I 8.5
62.39 deg, I 7.2
69.14 deg, I 34.3

Structure:
Cell lengths 4.706, 4.706, 4.706 Å; angles 60.00, 60.00, 60.00 degrees
Positions (direct):
Mg 0.000 0.000 0.000
Zr 0.500 0.500 0.500
Ni 0.250 0.250 0.250
Hg 0.750 0.750 0.750



The following is a calculated PXRD pattern of TbNd2Ag4Sn4. It was derived from a crystal structure in OQMD, relaxed with PBE, using λ = 1.5418 Å (Cu Kα).

Largest 8 diffraction maxima, low angle first, 2θ from 5° to 70°:
31.36 deg, I 28.0
31.57 deg, I 100.0
32.46 deg, I 82.6
34.77 deg, I 29.2
38.66 deg, I 46.2
40.82 deg, I 26.4
42.86 deg, I 32.4
57.48 deg, I 18.9

Structure:
Cell lengths 8.877, 8.877, 8.877 Å; angles 149.58, 131.17, 58.63 degrees
Positions (direct):
Tb 0.000 0.000 0.000
Nd 0.372 0.872 0.500
Nd 0.628 0.128 0.500
Ag 0.026 0.329 0.697
Ag 0.368 0.671 0.697
Ag 0.632 0.329 0.303
Ag 0.974 0.671 0.303
Sn 0.214 0.214 0.000
Sn 0.302 0.500 0.802
Sn 0.698 0.500 0.198
Sn 0.786 0.786 0.000



The following is a calculated PXRD pattern of Ag2HgWSeS3. It was derived from a crystal structure in OQMD, relaxed with PBE, using λ = 1.5418 Å (Cu Kα).

Largest 8 diffraction maxima, low angle first, 2θ from 5° to 70°:
26.25 deg, I 47.8
26.44 deg, I 100.0
26.61 deg, I 54.0
27.77 deg, I 46.6
39.68 deg, I 46.1
45.59 deg, I 33.1
46.05 deg, I 31.1
48.48 deg, I 35.9

Structure:
Cell lengths 6.425, 6.425, 6.733 Å; angles 118.05, 118.05, 89.94 degrees
Positions (direct):
Ag 0.241 0.759 0.000
Ag 0.759 0.241 0.000
Hg 0.503 0.503 0.516
W 0.015 0.015 0.521
Se 0.668 0.668 0.245
S 0.081 0.081 0.256
S 0.341 0.940 0.776
S 0.940 0.341 0.776



The following is a calculated PXRD pattern of DyYIn4Ni2. It was derived from a crystal structure in OQMD, relaxed with PBE, using λ = 1.5418 Å (Cu Kα).

Largest 8 diffraction maxima, low angle first, 2θ from 5° to 70°:
32.94 deg, I 100.0
35.16 deg, I 42.1
36.38 deg, I 20.0
40.37 deg, I 22.1
41.18 deg, I 21.1
41.71 deg, I 28.3
43.03 deg, I 15.1
59.44 deg, I 13.9

Structure:
Cell lengths 7.411, 5.669, 5.669 Å; angles 44.91, 90.00, 90.00 degrees
Positions (direct):
Dy 0.000 0.000 0.000
Y 0.500 0.137 0.137
In 0.200 0.712 0.712
In 0.300 0.426 0.426
In 0.700 0.426 0.426
In 0.800 0.712 0.712
Ni 0.000 0.283 0.283
Ni 0.500 0.854 0.854



Which formula does entry 1 have?
MgZrNiHg